Theoretical powder diffractogram of Li2Pu3P3 for a wavelength of 1.5418 Å, from a DFT-relaxed cell (PBE, Alexandria).
Lines closer than 0.1° are merged.

Cell and atoms:
Lattice parameters (Å, degrees): 8.226 8.226 5.688 90.00 90.00 120.00
Fractional positions:
Li 0.333 0.667 0.000
Li 0.333 0.667 0.500
Li 0.667 0.333 0.000
Li 0.667 0.333 0.500
Pu 0.000 0.297 0.250
Pu 0.000 0.703 0.750
Pu 0.297 0.000 0.250
Pu 0.297 0.297 0.750
Pu 0.703 0.000 0.750
Pu 0.703 0.703 0.250
P 0.000 0.366 0.750
P 0.000 0.634 0.250
P 0.366 0.000 0.750
P 0.366 0.366 0.250
P 0.634 0.000 0.250
P 0.634 0.634 0.750

Principal peaks in the range 2θ from 10° to 80°, low angle first:
d [Å], intensity
4.113, 46
3.333, 100
2.844, 28
2.434, 25
2.375, 39
2.339, 23
1.823, 34
1.722, 16

***

Theoretical powder diffractogram of LiPu2UP4 for a wavelength of 1.5418 Å, from a DFT-relaxed cell (PBE, Alexandria).
Lines closer than 0.1° are merged.

Cell and atoms:
Lattice parameters (Å, degrees): 6.890 6.890 6.890 132.59 132.59 69.31
Fractional positions:
Li 0.000 0.000 0.000
Pu 0.250 0.750 0.500
Pu 0.750 0.250 0.500
U 0.500 0.500 0.000
P 0.000 0.500 0.500
P 0.265 0.265 0.000
P 0.500 0.000 0.500
P 0.735 0.735 0.000

Principal peaks in the range 2θ from 10° to 80°, low angle first:
d [Å], intensity
4.978, 45
3.223, 100
2.834, 37
2.770, 70
1.981, 53
1.959, 26
1.674, 39
1.611, 28

***

Theoretical powder diffractogram of Li6P2Rh for a wavelength of 1.5418 Å, from a DFT-relaxed cell (PBE, Alexandria).
Lines closer than 0.1° are merged.

Cell and atoms:
Lattice parameters (Å, degrees): 6.410 6.410 8.514 90.00 90.00 90.00
Fractional positions:
Li 0.187 0.187 0.000
Li 0.243 0.243 0.329
Li 0.243 0.243 0.671
Li 0.257 0.743 0.171
Li 0.257 0.743 0.829
Li 0.313 0.687 0.500
Li 0.687 0.313 0.500
Li 0.743 0.257 0.171
Li 0.743 0.257 0.829
Li 0.757 0.757 0.329
Li 0.757 0.757 0.671
Li 0.813 0.813 0.000
P 0.000 0.000 0.227
P 0.000 0.000 0.773
P 0.500 0.500 0.273
P 0.500 0.500 0.727
Rh 0.000 0.000 0.500
Rh 0.500 0.500 0.000

Principal peaks in the range 2θ from 10° to 80°, low angle first:
d [Å], intensity
5.121, 76
4.532, 100
3.205, 28
2.717, 35
2.595, 25
2.266, 19
2.027, 19
2.017, 26

***

Theoretical powder diffractogram of LiTbP2Rh5 for a wavelength of 1.5418 Å, from a DFT-relaxed cell (PBE, Alexandria).
Lines closer than 0.1° are merged.

Cell and atoms:
Lattice parameters (Å, degrees): 4.065 4.065 8.553 90.00 90.00 90.00
Fractional positions:
Li 0.000 0.000 0.000
Tb 0.000 0.000 0.500
P 0.500 0.500 0.132
P 0.500 0.500 0.868
Rh 0.000 0.500 0.252
Rh 0.000 0.500 0.748
Rh 0.500 0.000 0.252
Rh 0.500 0.000 0.748
Rh 0.500 0.500 0.500

Principal peaks in the range 2θ from 10° to 80°, low angle first:
d [Å], intensity
8.553, 54
2.724, 14
2.385, 100
2.138, 15
2.032, 37
1.473, 18
1.277, 14
1.231, 24

***

Theoretical powder diffractogram of LiThP2Rh7 for a wavelength of 1.5418 Å, from a DFT-relaxed cell (PBE, Alexandria).
Lines closer than 0.1° are merged.

Cell and atoms:
Lattice parameters (Å, degrees): 9.918 9.918 9.918 155.59 155.59 34.79
Fractional positions:
Li 0.000 0.000 0.000
Th 0.250 0.750 0.500
P 0.584 0.084 0.500
P 0.916 0.416 0.500
Rh 0.033 0.533 0.500
Rh 0.139 0.139 0.000
Rh 0.365 0.365 0.000
Rh 0.467 0.967 0.500
Rh 0.635 0.635 0.000
Rh 0.750 0.250 0.500
Rh 0.861 0.861 0.000

Principal peaks in the range 2θ from 10° to 80°, low angle first:
d [Å], intensity
2.810, 14
2.512, 100
2.366, 12
2.160, 25
2.096, 44
1.569, 13
1.482, 14
1.277, 23

***

Theoretical powder diffractogram of LiPRu for a wavelength of 1.5418 Å, from a DFT-relaxed cell (PBE, Alexandria).
Lines closer than 0.1° are merged.

Cell and atoms:
Lattice parameters (Å, degrees): 3.879 3.879 6.564 90.00 90.00 120.00
Fractional positions:
Li 0.000 0.000 0.000
Li 0.333 0.667 0.786
P 0.333 0.667 0.186
P 0.667 0.333 0.610
Ru 0.000 0.000 0.540
Ru 0.667 0.333 0.252

Principal peaks in the range 2θ from 10° to 80°, low angle first:
d [Å], intensity
6.564, 100
3.360, 26
2.991, 88
2.348, 73
1.940, 53
1.860, 22
1.833, 20
1.451, 26

***

Which formula does entry 2 have? LiPu2UP4